No. 1
Starting from a crystal structure in Alexandria, relaxed with GGA+U, the XRD peak list of LiMnVF6 was simulated for Cu Kα.
No peak broadening, texture or thermal motion is included.

Most intense lines, 2θ from 10° to 90°, in order of rising 2θ:
2theta  intensity
20.04  33
27.58  100
35.08  7
40.07  40
43.35  7
45.19  21
52.69  44
58.46  18
62.49  8
62.93  19

Atomic structure:
Cell: 8.8619 8.8619 4.7326 Å, 90.00 90.00 120.00°
Space group P321 (No. 150)
Asymmetric unit:
Li1 0.0000 0.0000 0.0000
Li2 0.3333 0.6667 0.5002
Mn1 0.0000 0.6477 0.0000
V1 0.0000 0.3155 0.5000
F1 0.1076 0.2222 0.2395
F2 0.1087 0.5332 0.2706
F3 0.2188 0.7804 0.7241

No. 2
Starting from a crystal structure in Alexandria, relaxed with GGA+U, the XRD peak list of LiMoF4 was simulated for Cu Kα.
No peak broadening, texture or thermal motion is included.

Most intense lines, 2θ from 10° to 90°, in order of rising 2θ:
2theta  intensity
16.77  97
24.37  76
25.69  100
30.39  22
33.33  25
36.27  28
40.41  20
49.94  19
50.67  19
52.81  22

Atomic structure:
Cell: 5.7585 4.9248 5.9317 Å, 90.00 113.38 90.00°
Space group P2_1/c (No. 14)
Asymmetric unit:
Li1 0.0000 0.0000 0.0000
Mo1 0.5000 0.0000 0.5000
F1 0.1601 0.2073 0.3448
F2 0.3452 0.6982 0.6541

No. 3
Starting from a crystal structure in Alexandria, relaxed with GGA+U, the XRD peak list of Li2MoF5 was simulated for Cu Kα.
No peak broadening, texture or thermal motion is included.

Most intense lines, 2θ from 10° to 90°, in order of rising 2θ:
2theta  intensity
15.33  100
18.87  99
23.14  20
28.24  16
28.95  29
32.33  41
35.95  32
40.10  34
45.42  27
47.55  24

Atomic structure:
Cell: 3.2848 11.5569 5.1498 Å, 90.00 90.00 90.00°
Space group Pmmn (No. 59, origin choice 2)
Asymmetric unit:
Li1 0.2500 0.0828 0.1195
Mo1 0.2500 0.7500 0.3230
F1 0.2500 0.1443 0.4622
F2 0.2500 0.2500 0.9544
F3 0.2500 0.5867 0.0804